[1]
This entry pairs a crystal structure of LiFeO3 with its simulated powder XRD pattern. Radiation: Cu Kα X-rays. Structure: a DFT-relaxed cell (GGA+U, the Materials Project).

Cell and atoms:
a b c (Å): 4.9725 4.9006 8.1194
angles (deg): 90.00 90.00 90.00
Space group Pnna (No. 52)
Symmetry-distinct sites (fractional):
Li1 0.2500 0.0000 0.1969
Fe1 0.2500 0.0000 0.5954
O1 0.0713 0.1958 0.4191
O2 0.0968 0.2500 0.7500

The 6 most intense peaks (10° ≤ 2θ ≤ 90°), in order of falling intensity:
hkl, 2θ/deg, I_rel
0 1 1, 21.2, 100
1 1 2, 33.9, 52
2 1 1, 42.3, 31
1 0 1, 20.9, 30
1 2 3, 53.7, 27
2 2 0, 52.4, 16

[2]
This entry pairs a crystal structure of CaAsWO5 with its simulated powder XRD pattern. Radiation: Cu Kα X-rays. Structure: a DFT-relaxed cell (GGA+U, the Materials Project).

Cell and atoms:
a b c (Å): 6.0224 9.7446 8.3784
angles (deg): 90.00 90.57 90.00
Space group P2_1 (No. 4)
Symmetry-distinct sites (fractional):
Ca1 0.2155 0.0000 0.1708
Ca2 0.2746 0.7778 0.6531
As1 0.2321 0.4312 0.6195
As2 0.2709 0.3402 0.1287
W1 0.0311 0.6279 0.2598
W2 0.4657 0.1413 0.7562
O1 0.0144 0.8267 0.3247
O2 0.0541 0.4219 0.2612
O3 0.1397 0.5703 0.7345
O4 0.2000 0.1258 0.9141
O5 0.2337 0.0877 0.5957
O6 0.2636 0.6726 0.1000
O7 0.3033 0.6433 0.4150
O8 0.3597 0.2018 0.2473
O9 0.4482 0.3473 0.7554
O10 0.4842 0.9409 0.8094

The 6 most intense peaks (10° ≤ 2θ ≤ 90°), in order of falling intensity:
hkl, 2θ/deg, I_rel
0 1 1, 13.9, 100
0 0 2, 21.2, 45
0 3 1, 29.5, 41
2 1 1, 33.0, 23
2 1 -1, 32.8, 22
0 2 2, 28.1, 19

[3]
This entry pairs a crystal structure of SrMgMnO3 with its simulated powder XRD pattern. Radiation: Cu Kα X-rays. Structure: a DFT-relaxed cell (GGA+U, the Materials Project).

Cell and atoms:
a b c (Å): 6.9208 5.9440 4.6265
angles (deg): 90.00 101.97 90.00
Space group Cm (No. 8)
Symmetry-distinct sites (fractional):
Sr1 0.0000 0.0000 0.0000
Mg1 0.1161 0.5000 0.3880
Mn1 0.3319 0.0000 0.6722
O1 0.1093 0.2492 0.6421
O2 0.3605 0.0000 0.1379

The 6 most intense peaks (10° ≤ 2θ ≤ 90°), in order of falling intensity:
hkl, 2θ/deg, I_rel
1 1 1, 30.0, 100
0 2 0, 30.1, 50
1 1 -2, 42.2, 49
2 2 -1, 42.6, 48
3 1 0, 42.9, 47
1 1 0, 19.9, 35

[4]
This entry pairs a crystal structure of LiMn3P3O13 with its simulated powder XRD pattern. Radiation: Cu Kα X-rays. Structure: a DFT-relaxed cell (GGA+U, the Materials Project).

Cell and atoms:
a b c (Å): 7.5093 6.2213 10.5757
angles (deg): 90.00 99.37 90.00
Space group P2_1/m (No. 11)
Symmetry-distinct sites (fractional):
Li1 0.1335 0.2500 0.1304
Mn1 0.1346 0.2500 0.8021
Mn2 0.2645 0.7500 0.4506
Mn3 0.5000 0.0000 0.0000
P1 0.1942 0.7500 0.1236
P2 0.2295 0.7500 0.7697
P3 0.2901 0.2500 0.5275
O1 0.0036 0.2500 0.9524
O2 0.1108 0.5584 0.8002
O3 0.1459 0.7500 0.2619
O4 0.1597 0.2500 0.6287
O5 0.2384 0.0546 0.4374
O6 0.2807 0.7500 0.6371
O7 0.2938 0.5419 0.0984
O8 0.3705 0.2500 0.9071
O9 0.4062 0.7500 0.8721
O10 0.4847 0.2500 0.5949

The 6 most intense peaks (10° ≤ 2θ ≤ 90°), in order of falling intensity:
hkl, 2θ/deg, I_rel
1 0 -2, 19.1, 100
0 1 1, 16.6, 82
2 0 1, 26.8, 74
1 0 3, 30.1, 64
2 0 0, 24.0, 64
1 2 1, 32.9, 63